No. 1
# PuAlFeSi2
Calculated X-ray diffraction stick pattern, Cu Kα (λ = 1.5418 Å). Input: a PBE-relaxed structure.
No peak broadening, texture or thermal motion is included.

Most intense lines, 2θ from 10° to 90°, in order of rising 2θ:
2theta	I (rel.)	(hkl)
16.13	44	0 1 0
23.22	69	1 0 1
28.40	100	1 1 1
32.58	28	0 2 0
36.35	50	0 1 2
37.64	41	2 1 0
40.39	86	1 2 1
47.47	34	2 0 2

Structure:
```
data_PuAlFeSi2
_cell_length_a 5.308
_cell_length_b 5.496
_cell_length_c 5.534
_cell_angle_alpha 90.00
_cell_angle_beta 90.00
_cell_angle_gamma 90.00
_space_group_name_H-M_alt 'P m m a'
_space_group_IT_number 51
loop_
_space_group_symop_operation_xyz
'x,y,z'
'-x,-y,-z'
'-x+1/2,-y,z'
'x+1/2,y,-z'
'x+1/2,-y,-z'
'-x+1/2,y,z'
'-x,y,-z'
'x,-y,z'
loop_
_atom_site_label
_atom_site_type_symbol
_atom_site_fract_x
_atom_site_fract_y
_atom_site_fract_z
_atom_site_occupancy
Pu1 Pu 0.250 0.000 0.239 1
Al1 Al 0.250 0.500 0.366 1
Fe1 Fe 0.000 0.500 0.000 1
Si1 Si 0.250 0.244 0.756 1
```

=====

No. 2
# Tb3Dy7Th2
Calculated X-ray diffraction stick pattern, Cu Kα (λ = 1.5418 Å). Input: a PBE-relaxed structure.
No peak broadening, texture or thermal motion is included.

Most intense lines, 2θ from 10° to 90°, in order of rising 2θ:
2theta	I (rel.)	(hkl)
30.80	100	1 1 3
30.88	99	0 0 6
35.70	68	1 1 -3
35.87	33	0 2 5
51.50	60	0 2 -7
61.06	29	2 2 0
61.21	29	1 3 -4
61.35	28	1 3 8

Structure:
```
data_Tb3Dy7Th2
_cell_length_a 3.564
_cell_length_b 6.139
_cell_length_c 17.721
_cell_angle_alpha 80.16
_cell_angle_beta 84.24
_cell_angle_gamma 89.99
_space_group_name_H-M_alt 'P -1'
_space_group_IT_number 2
loop_
_space_group_symop_operation_xyz
'x,y,z'
'-x,-y,-z'
loop_
_atom_site_label
_atom_site_type_symbol
_atom_site_fract_x
_atom_site_fract_y
_atom_site_fract_z
_atom_site_occupancy
Tb1 Tb 0.000 0.000 0.000 1
Tb2 Tb 0.333 0.666 0.333 1
Dy1 Dy 0.084 0.419 0.833 1
Dy2 Dy 0.251 0.243 0.498 1
Dy3 Dy 0.416 0.088 0.168 1
Dy4 Dy 0.500 0.500 0.000 1
Th1 Th 0.167 0.830 0.668 1
```